Diffraction record for K4Cu3As4H2O16. The powder X-ray diffraction pattern is computed, not measured: it uses a cell relaxed with GGA-PBE and a wavelength of 1.5418 Å.

Largest 6 diffraction maxima, in order of falling intensity, 2θ from 5° to 70°:
Position (°2θ)  I (rel.)  index
10.5  100  1 0 0
31.7  95  1 3 1
28.0  67  0 3 1
28.6  59  3 0 -2
20.1  52  0 2 1
13.7  40  1 1 -1

Structural model:
Unit cell a=9.556 b=10.265 c=9.846 alpha=90.00 beta=118.33 gamma=90.00
Space group P2_1/c (No. 14)
Inequivalent atoms, fractional coordinates:
K (0.093, 0.123, 0.163) (multiplicity 4)
K (0.236, 0.006, 0.675) (multiplicity 4)
Cu (0.385, 0.654, 0.621) (multiplicity 4)
Cu (0.500, 0.000, 0.500) (multiplicity 2)
As (0.189, 0.669, 0.811) (multiplicity 4)
As (0.397, 0.204, 0.047) (multiplicity 4)
H (0.115, 0.193, 0.875) (multiplicity 4)
O (0.005, 0.139, 0.731) (multiplicity 4)
O (0.187, 0.654, 0.634) (multiplicity 4)
O (0.193, 0.244, 0.979) (multiplicity 4)
O (0.250, 0.677, 0.389) (multiplicity 4)
O (0.286, 0.541, 0.935) (multiplicity 4)
O (0.414, 0.190, 0.880) (multiplicity 4)
O (0.444, 0.076, 0.165) (multiplicity 4)
O (0.493, 0.150, 0.641) (multiplicity 4)


Diffraction record for Na5Cu3As4HO16. The powder X-ray diffraction pattern is computed, not measured: it uses a cell relaxed with GGA-PBE and a wavelength of 1.5418 Å.

Largest 6 diffraction maxima, in order of falling intensity, 2θ from 5° to 70°:
Position (°2θ)  I (rel.)  index
11.8  100  0 1 1
33.3  83  2 1 0
25.0  65  1 1 2
33.1  43  -1 1 3
33.0  39  1 2 3
24.0  31  0 2 0

Structural model:
Unit cell a=5.393 b=8.658 c=9.474 alpha=63.70 beta=89.38 gamma=74.24
Space group P-1 (No. 2)
Inequivalent atoms, fractional coordinates:
Na (0.000, 0.000, 0.000) (multiplicity 1)
Na (0.297, 0.452, 0.264) (multiplicity 2)
Na (0.340, 0.357, 0.637) (multiplicity 2)
Cu (0.167, 0.747, 0.794) (multiplicity 2)
Cu (0.500, 0.000, 0.500) (multiplicity 1)
As (0.065, 0.824, 0.426) (multiplicity 2)
As (0.260, 0.311, 0.979) (multiplicity 2)
H (0.500, 0.000, 0.000) (multiplicity 1)
O (0.025, 0.009, 0.245) (multiplicity 2)
O (0.069, 0.669, 0.011) (multiplicity 2)
O (0.214, 0.636, 0.406) (multiplicity 2)
O (0.229, 0.200, 0.502) (multiplicity 2)
O (0.262, 0.839, 0.566) (multiplicity 2)
O (0.277, 0.503, 0.809) (multiplicity 2)
O (0.370, 0.151, 0.909) (multiplicity 2)
O (0.425, 0.258, 0.152) (multiplicity 2)